No. 1
Calculated powder diffraction line list
Compound: ThZnPt5
Radiation: λ = 1.5418 Å (Cu Kα)
Structure: the GGA-PBE geometry in Alexandria
Neutral-atom scattering factors, no anomalous dispersion.

Peak list (10 most intense, 10° ≤ 2θ ≤ 80°, in order of falling intensity)
hkl	two_theta	d (Å)	I_rel
3 1 1	35.77	2.511	100.0
2 1 3	36.39	2.469	86.3
0 2 2	37.60	2.392	52.3
4 0 1	41.69	2.166	49.1
1 0 4	34.90	2.571	46.4
2 2 1	40.32	2.237	43.9
1 0 5	43.31	2.089	34.6
1 2 3	43.47	2.082	33.6
2 1 4	42.86	2.110	31.4
2 2 2	42.98	2.104	26.4

Cell and atoms:
```
data_ThZnPt5
_chemical_formula_sum 'Th4 Zn4 Pt20'
_cell_length_a 8.847
_cell_length_b 5.344
_cell_length_c 10.749
_cell_angle_alpha 90.00
_cell_angle_beta 90.00
_cell_angle_gamma 90.00
_symmetry_space_group_name_H-M 'P n m a'
_symmetry_Int_Tables_number 62
loop_
_symmetry_equiv_pos_as_xyz
'x,y,z'
'-x,-y,-z'
'-x+1/2,-y,z+1/2'
'x+1/2,y,-z+1/2'
'x+1/2,-y+1/2,-z+1/2'
'-x+1/2,y+1/2,z+1/2'
'-x,y+1/2,-z'
'x,-y+1/2,z'
loop_
_atom_site_label
_atom_site_fract_x
_atom_site_fract_y
_atom_site_fract_z
_atom_site_occupancy
Th1 0.249 0.250 0.056 1
Zn1 0.155 0.750 0.852 1
Pt1 0.047 0.750 0.071 1
Pt2 0.064 0.008 0.293 1
Pt3 0.098 0.250 0.514 1
Pt4 0.187 0.250 0.757 1
```

No. 2
Calculated powder diffraction line list
Compound: TbNd4Sm7
Radiation: λ = 1.5418 Å (Cu Kα)
Structure: the GGA-PBE geometry in Alexandria
Neutral-atom scattering factors, no anomalous dispersion.

Peak list (10 most intense, 10° ≤ 2θ ≤ 80°, in order of falling intensity)
hkl	two_theta	d (Å)	I_rel
2 0 2	31.25	2.862	100.0
2 0 -1	32.91	2.721	56.2
0 0 3	30.35	2.945	49.4
3 2 1	49.77	1.832	37.5
1 -2 0	28.33	3.151	36.2
0 4 3	59.45	1.555	29.3
1 2 2	32.86	2.726	27.5
2 -4 2	59.95	1.543	15.6
1 2 -4	53.45	1.714	15.1
3 2 4	59.33	1.558	14.7

Cell and atoms:
```
data_TbNd4Sm7
_chemical_formula_sum 'Tb1 Nd4 Sm7'
_cell_length_a 6.350
_cell_length_b 7.325
_cell_length_c 9.090
_cell_angle_alpha 89.94
_cell_angle_beta 76.38
_cell_angle_gamma 89.93
_symmetry_space_group_name_H-M 'P -1'
_symmetry_Int_Tables_number 2
loop_
_symmetry_equiv_pos_as_xyz
'x,y,z'
'-x,-y,-z'
loop_
_atom_site_label
_atom_site_fract_x
_atom_site_fract_y
_atom_site_fract_z
_atom_site_occupancy
Tb1 0.000 0.000 0.000 1
Nd1 0.221 0.500 0.332 1
Nd2 0.280 0.248 0.669 1
Sm1 0.000 0.500 0.000 1
Sm2 0.219 0.000 0.331 1
Sm3 0.280 0.752 0.670 1
Sm4 0.500 0.249 0.000 1
```

No. 3
Calculated powder diffraction line list
Compound: La10Bi3Sb3
Radiation: λ = 1.5418 Å (Cu Kα)
Structure: the GGA-PBE geometry in Alexandria
Neutral-atom scattering factors, no anomalous dispersion.

Peak list (10 most intense, 10° ≤ 2θ ≤ 80°, in order of falling intensity)
hkl	two_theta	d (Å)	I_rel
2 1 1	31.32	2.856	100.0
1 1 2	32.57	2.749	91.8
3 0 0	32.14	2.785	68.8
2 1 3	50.06	1.822	31.2
2 1 0	28.26	3.158	24.9
0 0 2	26.65	3.345	24.0
2 2 2	46.41	1.956	23.3
3 1 1	41.23	2.190	20.5
3 0 4	65.04	1.434	18.1
5 0 2	62.09	1.495	16.6

Cell and atoms:
```
data_La10Bi3Sb3
_chemical_formula_sum 'La10 Bi3 Sb3'
_cell_length_a 9.6482
_cell_length_b 9.6482
_cell_length_c 6.6905
_cell_angle_alpha 90.00
_cell_angle_beta 90.00
_cell_angle_gamma 120.00
_symmetry_space_group_name_H-M 'P -6 2 m'
_symmetry_Int_Tables_number 189
_symmetry_space_group_name_Hall 'P -6 -2'
loop_
_atom_site_label
_atom_site_fract_x
_atom_site_fract_y
_atom_site_fract_z
_atom_site_occupancy
La1 0.0000 0.2541 0.0000 1
La2 0.0000 0.7466 0.5000 1
La3 0.3333 0.6667 0.2545 1
Bi1 0.0000 0.6149 0.0000 1
Sb1 0.0000 0.3831 0.5000 1
```